[1]
# RbErFeSe3
Calculated powder X-ray diffraction pattern, Cu Kα. Input: a GGA-PBE-relaxed structure.
Neutral-atom scattering factors, no anomalous dispersion.

The 10 most intense peaks (10° ≤ 2θ ≤ 80°), by angle:
two_theta	intensity	(hkl)
11.15	100.0	1 0 -1
27.75	27.0	0 0 3
29.53	72.8	2 1 -1
30.50	34.4	2 1 0
34.04	15.1	1 1 -3
34.78	15.1	1 0 -4
42.08	23.3	2 1 -4
44.44	21.4	0 2 0
48.46	18.9	3 1 2
51.84	18.4	3 1 -5

Cell and atoms:
```
data_RbErFeSe3
_chemical_formula_sum 'Rb2 Er2 Fe2 Se6'
_cell_length_a 9.050
_cell_length_b 4.078
_cell_length_c 10.352
_cell_angle_alpha 90.00
_cell_angle_beta 111.30
_cell_angle_gamma 90.00
_space_group_name_H-M_alt 'P 1 21/m 1'
_space_group_IT_number 11
loop_
_space_group_symop_operation_xyz
'x,y,z'
'-x,-y,-z'
'-x,y+1/2,-z'
'x,-y+1/2,z'
loop_
_atom_site_label
_atom_site_fract_x
_atom_site_fract_y
_atom_site_fract_z
Rb1 0.233 0.250 0.266
Er1 0.329 0.750 0.854
Fe1 0.072 0.250 0.587
Se1 0.100 0.250 0.829
Se2 0.217 0.750 0.549
Se3 0.453 0.750 0.144
```

***

[2]
# Er3Sc3FeTe2
Calculated powder X-ray diffraction pattern, Cu Kα. Input: a GGA-PBE-relaxed structure.
Neutral-atom scattering factors, no anomalous dispersion.

The 10 most intense peaks (10° ≤ 2θ ≤ 80°), by angle:
two_theta	intensity	(hkl)
22.47	34.9	1 1 0
31.99	100.0	1 1 1
34.63	68.9	2 0 1
39.44	33.9	3 0 0
41.68	16.5	2 1 1
45.88	23.9	0 0 2
51.66	15.5	2 2 1
53.48	15.8	3 1 1
62.07	20.8	3 0 2
63.68	17.6	3 2 1

Cell and atoms:
```
data_Er3Sc3FeTe2
_chemical_formula_sum 'Er3 Sc3 Fe1 Te2'
_cell_length_a 7.9149
_cell_length_b 7.9149
_cell_length_c 3.9551
_cell_angle_alpha 90.00
_cell_angle_beta 90.00
_cell_angle_gamma 120.00
_space_group_name_H-M_alt 'P -6 2 m'
_space_group_IT_number 189
_space_group_name_Hall 'P -6 -2'
loop_
_atom_site_label
_atom_site_fract_x
_atom_site_fract_y
_atom_site_fract_z
Er1 0.0000 0.6123 0.0000
Sc1 0.0000 0.2267 0.5000
Fe1 0.0000 0.0000 0.0000
Te1 0.3333 0.6667 0.5000
```

***

[3]
# Er2FeSe4
Calculated powder X-ray diffraction pattern, Cu Kα. Input: a GGA-PBE-relaxed structure.
Neutral-atom scattering factors, no anomalous dispersion.

The 10 most intense peaks (10° ≤ 2θ ≤ 80°), by angle:
two_theta	intensity	(hkl)
13.44	41.7	1 1 1
25.90	75.4	3 1 1
31.36	94.4	4 0 0
34.26	11.9	3 3 1
41.11	30.5	5 1 1
44.95	100.0	4 4 0
55.83	24.5	4 4 4
62.54	18.3	5 5 3
65.45	16.1	8 0 0
74.37	31.7	8 4 0

Cell and atoms:
Cell: 11.408 11.408 11.408 Å, 90.00 90.00 90.00°
Space group Fd-3m (No. 227, origin choice 2)
Asymmetric unit:
Er 0.000 0.000 0.000 (multiplicity 16)
Fe 0.125 0.125 0.625 (multiplicity 8)
Se 0.001 0.001 0.249 (multiplicity 32)